Diffraction record for Ac2Ge3Pt. The PXRD pattern is theoretical, not measured: it uses a structure optimized by DFT (PBE) and a wavelength of 1.5418 Å.
No peak broadening, texture or thermal motion is included.

Peak list (10 most intense, 5 to 70 degrees two-theta, sorted by position)
2θ/deg  Rel. int.
22.93  16
30.48  100
31.05  51
39.82  21
40.26  21
41.16  39
51.33  26
57.91  15
58.94  27
69.06  11

Crystal structure
```
data_Ac2Ge3Pt
_space_group_name_H-M_alt 'P m m 2'
_space_group_IT_number 25
_cell_length_a 4.480
_cell_length_b 4.528
_cell_length_c 7.520
_cell_angle_alpha 90.00
_cell_angle_beta 90.00
_cell_angle_gamma 90.00
loop_
_space_group_symop_operation_xyz
'x,y,z'
'-x,-y,z'
'-x,y,z'
'x,-y,z'
loop_
_atom_site_label
_atom_site_type_symbol
_atom_site_fract_x
_atom_site_fract_y
_atom_site_fract_z
_atom_site_occupancy
Ac1 Ac 0.000 0.000 0.000 1
Ac2 Ac 0.000 0.500 0.493 1
Ge1 Ge 0.500 0.000 0.657 1
Ge2 Ge 0.500 0.500 0.170 1
Ge3 Ge 0.500 0.500 0.828 1
Pt1 Pt 0.500 0.000 0.322 1
```